Entry 1:
K2PaReO8: calculated powder diffractogram (CuKα), based on a crystal structure in Alexandria, relaxed with PBE.
Intensities are scaled so that the largest is 100.

Principal peaks in the range 2θ = 5–70°, in order of rising 2θ:
15.5 deg, I = 81
15.6 deg, I = 80
21.7 deg, I = 81
22.4 deg, I = 63
26.4 deg, I = 19
30.8 deg, I = 100
31.2 deg, I = 18
34.4 deg, I = 31
44.1 deg, I = 38
44.2 deg, I = 26

Cell and atoms:
Cell: 5.6876 6.7408 5.7298 Å, 90.00 91.87 90.00°
Space group P2/m (No. 10)
Unique sites:
K 0.0000 0.2408 0.0000 (multiplicity 2)
Pa 0.5000 0.5000 0.5000 (multiplicity 1)
Re 0.5000 0.0000 0.5000 (multiplicity 1)
O 0.2588 0.5000 0.2578 (multiplicity 2)
O 0.2692 0.0000 0.2683 (multiplicity 2)
O 0.3408 0.2124 0.6565 (multiplicity 4)



Entry 2:
KPaRhO4: calculated powder diffractogram (CuKα), based on a crystal structure in Alexandria, relaxed with PBE.
Intensities are scaled so that the largest is 100.

Principal peaks in the range 2θ = 5–70°, in order of rising 2θ:
17.4 deg, I = 100
27.0 deg, I = 37
29.2 deg, I = 36
29.8 deg, I = 51
31.4 deg, I = 56
35.2 deg, I = 21
41.5 deg, I = 26
48.4 deg, I = 22
51.6 deg, I = 29
56.5 deg, I = 24

Cell and atoms:
Cell: 5.6174 6.8734 12.2410 Å, 90.00 90.00 90.00°
Space group Imma (No. 74)
Unique sites:
K 0.0000 0.2500 0.1880 (multiplicity 4)
Pa 0.0000 0.0000 0.5000 (multiplicity 4)
Rh 0.2500 0.2500 0.7500 (multiplicity 4)
O 0.0000 0.0615 0.6843 (multiplicity 8)
O 0.2262 0.2500 0.4755 (multiplicity 8)



Entry 3:
KPaRu2O8: calculated powder diffractogram (CuKα), based on a crystal structure in Alexandria, relaxed with PBE.
Intensities are scaled so that the largest is 100.

Principal peaks in the range 2θ = 5–70°, in order of rising 2θ:
11.5 deg, I = 17
17.4 deg, I = 21
20.9 deg, I = 100
29.1 deg, I = 55
30.3 deg, I = 48
42.5 deg, I = 26
47.0 deg, I = 14
48.6 deg, I = 21
53.1 deg, I = 21
57.2 deg, I = 16

Cell and atoms:
Cell: 5.8977 5.8977 7.6839 Å, 90.00 90.00 120.00°
Space group P-3 (No. 147)
Unique sites:
K 0.0000 0.0000 0.0000 (multiplicity 1)
Pa 0.0000 0.0000 0.5000 (multiplicity 1)
Ru 0.3333 0.6667 0.7751 (multiplicity 2)
O 0.1654 0.3362 0.6718 (multiplicity 6)
O 0.3333 0.6667 0.0010 (multiplicity 2)



Entry 4:
K3Pa2S3O4: calculated powder diffractogram (CuKα), based on a crystal structure in Alexandria, relaxed with PBE.
Intensities are scaled so that the largest is 100.

Principal peaks in the range 2θ = 5–70°, in order of rising 2θ:
14.5 deg, I = 100
16.7 deg, I = 67
19.6 deg, I = 27
21.0 deg, I = 59
24.5 deg, I = 60
26.4 deg, I = 83
27.6 deg, I = 63
32.9 deg, I = 48
43.5 deg, I = 37
44.6 deg, I = 24

Cell and atoms:
Cell: 4.3020 5.4386 24.4612 Å, 90.00 90.00 90.00°
Space group Immm (No. 71)
Unique sites:
K 0.0000 0.0000 0.0000 (multiplicity 2)
K 0.0000 0.0000 0.1977 (multiplicity 4)
Pa 0.0000 0.0000 0.3853 (multiplicity 4)
S 0.0000 0.0000 0.5000 (multiplicity 2)
S 0.0000 0.5000 0.4007 (multiplicity 4)
O 0.0000 0.0000 0.3050 (multiplicity 4)
O 0.0000 0.5000 0.1148 (multiplicity 4)



Entry 5:
K2PaSbO8: calculated powder diffractogram (CuKα), based on a crystal structure in Alexandria, relaxed with PBE.
Intensities are scaled so that the largest is 100.

Principal peaks in the range 2θ = 5–70°, in order of rising 2θ:
14.8 deg, I = 100
17.8 deg, I = 48
22.8 deg, I = 62
23.7 deg, I = 53
26.3 deg, I = 28
29.8 deg, I = 23
30.3 deg, I = 73
31.9 deg, I = 32
36.1 deg, I = 25
43.8 deg, I = 34

Cell and atoms:
Cell: 4.9818 6.7833 5.9909 Å, 90.00 92.12 90.00°
Space group P2/m (No. 10)
Unique sites:
K 0.0000 0.2420 0.0000 (multiplicity 2)
Pa 0.5000 0.5000 0.5000 (multiplicity 1)
Sb 0.5000 0.0000 0.5000 (multiplicity 1)
O 0.0706 0.0000 0.4063 (multiplicity 2)
O 0.1699 0.5000 0.3181 (multiplicity 2)
O 0.4290 0.2146 0.7131 (multiplicity 4)



Entry 6:
KPa2SeO8: calculated powder diffractogram (CuKα), based on a crystal structure in Alexandria, relaxed with PBE.
Intensities are scaled so that the largest is 100.

Principal peaks in the range 2θ = 5–70°, in order of rising 2θ:
11.1 deg, I = 100
22.5 deg, I = 79
29.9 deg, I = 54
34.1 deg, I = 49
36.0 deg, I = 21
39.4 deg, I = 18
41.3 deg, I = 28
46.0 deg, I = 28
54.6 deg, I = 15
58.5 deg, I = 18

Cell and atoms:
Cell: 5.2515 5.2515 7.9490 Å, 90.00 90.00 120.00°
Space group P-3m1 (No. 164)
Unique sites:
K 0.0000 0.0000 0.0000 (multiplicity 1)
Pa 0.3333 0.6667 0.3631 (multiplicity 2)
Se 0.0000 0.0000 0.5000 (multiplicity 1)
O 0.1702 0.3404 0.6280 (multiplicity 6)
O 0.3333 0.6667 0.1268 (multiplicity 2)



Entry 7:
KPaTaO6: calculated powder diffractogram (CuKα), based on a crystal structure in Alexandria, relaxed with PBE.
Intensities are scaled so that the largest is 100.

Principal peaks in the range 2θ = 5–70°, in order of rising 2θ:
18.0 deg, I = 32
25.6 deg, I = 100
31.4 deg, I = 38
36.5 deg, I = 9
40.9 deg, I = 34
48.9 deg, I = 36
52.5 deg, I = 35
55.9 deg, I = 10
59.4 deg, I = 10
68.7 deg, I = 18

Cell and atoms:
Cell: 5.6938 5.6938 4.9228 Å, 90.00 90.00 120.00°
Space group P312 (No. 149)
Unique sites:
K 0.0000 0.0000 0.0000 (multiplicity 1)
Pa 0.6667 0.3333 0.5000 (multiplicity 1)
Ta 0.3333 0.6667 0.0000 (multiplicity 1)
O 0.0168 0.4272 0.2390 (multiplicity 6)



Entry 8:
K4TbPa3O12: calculated powder diffractogram (CuKα), based on a crystal structure in Alexandria, relaxed with PBE.
Intensities are scaled so that the largest is 100.

Principal peaks in the range 2θ = 5–70°, in order of rising 2θ:
14.3 deg, I = 3
20.2 deg, I = 73
28.8 deg, I = 100
35.4 deg, I = 10
41.1 deg, I = 31
46.2 deg, I = 35
50.9 deg, I = 42
59.6 deg, I = 20
63.6 deg, I = 17
67.5 deg, I = 18

Cell and atoms:
Cell: 8.7817 8.7817 8.7817 Å, 90.00 90.00 90.00°
Space group Im-3m (No. 229)
Unique sites:
K 0.2500 0.2500 0.2500 (multiplicity 8)
Tb 0.0000 0.0000 0.0000 (multiplicity 2)
Pa 0.0000 0.0000 0.5000 (multiplicity 6)
O 0.0000 0.0000 0.2611 (multiplicity 12)
O 0.0000 0.2500 0.5000 (multiplicity 12)